Computed powder diffraction line list
Compound: Ta3O2
Radiation: a wavelength of 1.5418 Å
Structure: a cell relaxed with GGA-PBE
Lines closer than 0.1° are merged.

Atomic structure:
```
20
Lattice="6.8807 0.0000 0.0000 0.0000 7.7902 2.6755 0.0000 -7.7902 2.6755" Properties=species:S:1:pos:R:3 pbc="T T T"
Ta 0.0649 -3.8951 2.6755
Ta 0.7865 -1.4474 1.2947
Ta 0.7865 1.4474 3.9702
Ta 2.0214 2.3701 1.3879
Ta 2.0214 -2.3701 4.0633
Ta 2.4290 3.8951 3.8781
Ta 4.4517 -3.8951 3.8781
Ta 4.8594 -2.3701 1.3879
Ta 4.8594 2.3701 4.0633
Ta 6.0943 1.4474 1.2947
Ta 6.0943 -1.4474 3.9702
Ta 6.8159 3.8951 2.6755
O 1.1500 0.5903 0.5975
O 1.1500 -0.5903 3.2729
O 2.8064 -1.8206 0.7377
O 2.8064 1.8206 3.4132
O 4.0743 1.8206 0.7377
O 4.0743 -1.8206 3.4132
O 5.7308 -0.5903 0.5975
O 5.7308 0.5903 3.2729
```

Most intense lines, 10° ≤ 2θ ≤ 90°, in order of rising 2θ:
two_theta, d (Å), intensity
11.4, 7.790, 100
12.9, 6.881, 45
33.5, 2.675, 45
35.5, 2.528, 89
35.8, 2.508, 78
37.9, 2.375, 45
41.0, 2.203, 60
43.1, 2.100, 27
43.3, 2.089, 34
46.1, 1.969, 37